1.
Structure and simulated powder X-ray diffraction pattern of NbSbNO (DFT lattice parameters and positions (GGA-PBE); Cu Kα, 1.54184 Å).
Intensities are scaled so that the largest is 100.

```
data_NbSbNO
_space_group_name_H-M_alt 'P c a 21'
_space_group_IT_number 29
_space_group_name_Hall 'P 2c -2ac'
_cell_length_a 6.263
_cell_length_b 8.370
_cell_length_c 5.873
_cell_angle_alpha 90.00
_cell_angle_beta 90.00
_cell_angle_gamma 90.00
loop_
_atom_site_label
_atom_site_type_symbol
_atom_site_fract_x
_atom_site_fract_y
_atom_site_fract_z
Nb1 Nb 0.113 0.076 0.000
Sb1 Sb 0.177 0.526 0.056
N1 N 0.105 0.054 0.660
O1 O 0.049 0.291 0.057
```

Principal peaks in the range 2θ = 5–70°, sorted by position:
- d 4.185, 2θ = 21.23°, I 100, (0 2 0)
- d 3.814, 2θ = 23.33°, I 18, (1 1 1)
- d 3.480, 2θ = 25.60°, I 36, (1 2 0)
- d 2.994, 2θ = 29.85°, I 25, (1 2 1)
- d 2.936, 2θ = 30.45°, I 92, (0 0 2)
- d 2.764, 2θ = 32.39°, I 100, (2 0 1)
- d 2.404, 2θ = 37.41°, I 36, (0 2 2)
- d 2.306, 2θ = 39.06°, I 49, (2 2 1)
- d 1.880, 2θ = 48.41°, I 17, (1 4 1)
- d 1.432, 2θ = 65.13°, I 20, (2 5 1)

=====

2.
Structure and simulated powder X-ray diffraction pattern of PaTaCu (DFT lattice parameters and positions (GGA-PBE); Cu Kα, 1.54184 Å).
Intensities are scaled so that the largest is 100.

```
data_PaTaCu
_space_group_name_H-M_alt 'F -4 3 m'
_space_group_IT_number 216
_space_group_name_Hall 'F -4 2 3'
_cell_length_a 6.321
_cell_length_b 6.321
_cell_length_c 6.321
_cell_angle_alpha 90.00
_cell_angle_beta 90.00
_cell_angle_gamma 90.00
loop_
_atom_site_label
_atom_site_type_symbol
_atom_site_fract_x
_atom_site_fract_y
_atom_site_fract_z
Pa1 Pa 0.000 0.000 0.000
Ta1 Ta 0.000 0.000 0.500
Cu1 Cu 0.250 0.250 0.250
```

Principal peaks in the range 2θ = 5–70°, sorted by position:
- d 3.650, 2θ = 24.39°, I 8, (1 1 1)
- d 3.161, 2θ = 28.24°, I 64, (2 0 0)
- d 2.235, 2θ = 40.36°, I 100, (2 2 0)
- d 1.906, 2θ = 47.72°, I 4, (3 1 1)
- d 1.825, 2θ = 49.98°, I 18, (2 2 2)
- d 1.580, 2θ = 58.40°, I 17, (4 0 0)
- d 1.450, 2θ = 64.23°, I 2, (3 3 1)
- d 1.413, 2θ = 66.10°, I 25, (4 2 0)